Pr2Tm7Sc2: theoretical PXRD pattern (copper Kα), based on DFT lattice parameters and positions (PBE).

Cell and atoms:
a b c (Å): 6.047 6.049 9.218
angles (deg): 89.97 83.74 80.15
Fractional positions:
Pr  0.226  0.048  0.096
Pr  0.774  0.952  0.904
Tm  0.049  0.410  0.810
Tm  0.320  0.867  0.719
Tm  0.405  0.680  0.369
Tm  0.500  0.500  0.000
Tm  0.595  0.320  0.631
Tm  0.680  0.133  0.281
Tm  0.951  0.590  0.190
Sc  0.133  0.229  0.457
Sc  0.867  0.771  0.543

The 10 most intense peaks (2θ = 10–80°), by angle:
Position (°2θ), d/Å, intensity
31.37, 2.852, 100
31.44, 2.845, 99
36.37, 2.470, 34
36.45, 2.465, 66
52.32, 1.749, 12
52.44, 1.745, 24
52.52, 1.742, 35
62.31, 1.490, 21
62.43, 1.487, 34
62.53, 1.485, 27


Y2Si4CN6: theoretical PXRD pattern (copper Kα), based on DFT lattice parameters and positions (PBE).

Cell and atoms:
a b c (Å): 5.961 9.998 11.955
angles (deg): 90.00 119.63 90.00
Fractional positions:
Y  0.156  0.087  0.418
Y  0.156  0.413  0.918
Y  0.171  0.068  0.906
Y  0.171  0.432  0.406
Y  0.829  0.568  0.594
Y  0.829  0.932  0.094
Y  0.844  0.587  0.082
Y  0.844  0.913  0.582
Si  0.178  0.227  0.659
Si  0.178  0.273  0.159
Si  0.299  0.706  0.824
Si  0.299  0.794  0.324
Si  0.336  0.713  0.580
Si  0.336  0.787  0.080
Si  0.496  0.520  0.250
Si  0.496  0.980  0.750
Si  0.504  0.020  0.250
Si  0.504  0.480  0.750
Si  0.664  0.213  0.920
Si  0.664  0.287  0.420
Si  0.701  0.206  0.676
Si  0.701  0.294  0.176
Si  0.822  0.727  0.841
Si  0.822  0.773  0.341
C  0.477  0.708  0.247
C  0.477  0.792  0.747
C  0.523  0.208  0.253
C  0.523  0.292  0.753
N  0.004  0.211  0.001
N  0.004  0.289  0.501
N  0.018  0.237  0.245
N  0.018  0.263  0.745
N  0.203  0.054  0.637
N  0.203  0.446  0.137
N  0.258  0.537  0.778
N  0.258  0.963  0.278
N  0.439  0.545  0.601
N  0.439  0.955  0.101
N  0.461  0.714  0.991
N  0.461  0.786  0.491
N  0.539  0.214  0.509
N  0.539  0.286  0.009
N  0.561  0.045  0.899
N  0.561  0.455  0.399
N  0.742  0.037  0.722
N  0.742  0.463  0.222
N  0.797  0.554  0.863
N  0.797  0.946  0.363
N  0.982  0.737  0.255
N  0.982  0.763  0.755
N  0.996  0.711  0.499
N  0.996  0.789  0.999

The 10 most intense peaks (2θ = 10–80°), by angle:
Position (°2θ), d/Å, intensity
19.27, 4.606, 16
29.77, 3.001, 18
29.94, 2.984, 35
31.93, 2.803, 100
34.86, 2.573, 21
35.02, 2.563, 35
35.76, 2.511, 38
35.95, 2.498, 19
54.27, 1.690, 12
54.47, 1.685, 17


Rh5Se3: theoretical PXRD pattern (copper Kα), based on DFT lattice parameters and positions (PBE).

Cell and atoms:
a b c (Å): 7.177 8.642 4.003
angles (deg): 90.00 90.00 90.00
Fractional positions:
Rh  0.000  0.000  0.000
Rh  0.220  0.500  0.500
Rh  0.250  0.250  0.000
Rh  0.250  0.750  0.000
Rh  0.280  0.000  0.500
Rh  0.500  0.500  0.000
Rh  0.720  0.000  0.500
Rh  0.750  0.250  0.000
Rh  0.750  0.750  0.000
Rh  0.780  0.500  0.500
Se  0.000  0.191  0.500
Se  0.000  0.500  0.000
Se  0.000  0.809  0.500
Se  0.500  0.000  0.000
Se  0.500  0.309  0.500
Se  0.500  0.691  0.500

The 10 most intense peaks (2θ = 10–80°), by angle:
Position (°2θ), d/Å, intensity
39.66, 2.273, 100
40.58, 2.223, 8
41.81, 2.160, 16
45.32, 2.001, 23
50.89, 1.794, 12
63.35, 1.468, 9
67.91, 1.380, 6
70.48, 1.336, 10
74.90, 1.268, 7
79.84, 1.201, 13


Sm4ErRh2: theoretical PXRD pattern (copper Kα), based on DFT lattice parameters and positions (PBE).

Cell and atoms:
a b c (Å): 7.939 6.435 8.040
angles (deg): 90.00 113.52 90.00
Fractional positions:
Sm  0.017  0.250  0.380
Sm  0.247  0.750  0.338
Sm  0.413  0.004  0.769
Sm  0.413  0.496  0.769
Sm  0.587  0.504  0.231
Sm  0.587  0.996  0.231
Sm  0.753  0.250  0.662
Sm  0.983  0.750  0.620
Er  0.156  0.250  0.032
Er  0.844  0.750  0.968
Rh  0.230  0.750  0.990
Rh  0.371  0.250  0.408
Rh  0.629  0.750  0.592
Rh  0.770  0.250  0.010

The 10 most intense peaks (2θ = 10–80°), by angle:
Position (°2θ), d/Å, intensity
30.14, 2.965, 83
30.37, 2.943, 100
30.84, 2.899, 95
31.27, 2.860, 70
33.51, 2.674, 64
33.98, 2.639, 94
36.01, 2.494, 72
37.09, 2.424, 86
46.50, 1.953, 58
57.26, 1.609, 60